This entry pairs a crystal structure of La4GeAsS2 with its calculated powder X-ray diffraction pattern. Radiation: Cu Kα X-rays. Structure: a cell relaxed with PBE.
Kinematic intensities with the Lorentz-polarization factor, no thermal factor.

Structural model:
abc: 7.3884 4.3109 7.4637
angles: 90.00 109.66 90.00
Space group P2/m (No. 10)
Inequivalent atoms, fractional coordinates:
La (0.2494, 0.0000, 0.2485) [2 per cell]
La (0.2488, 0.5000, 0.7505) [2 per cell]
Ge (0.5000, 0.0000, 0.0000) [1 per cell]
As (0.5000, 0.5000, 0.5000) [1 per cell]
S (0.0000, 0.0000, 0.5000) [1 per cell]
S (0.0000, 0.5000, 0.0000) [1 per cell]

Most intense lines, 10° ≤ 2θ ≤ 90°, in order of rising 2θ:
h k l  2θ (°)  I (rel.)
0 0 2  25.34  26
1 1 1  29.42  100
0 2 0  41.92  38
2 0 2  42.26  37
0 0 4  52.04  20
1 3 1  68.95  17
4 2 0  69.44  17
1 1 5  76.81  12

***

This entry pairs a crystal structure of Li5GeAs3 with its calculated powder X-ray diffraction pattern. Radiation: Cu Kα X-rays. Structure: a cell relaxed with PBE.
Kinematic intensities with the Lorentz-polarization factor, no thermal factor.

Structural model:
abc: 13.4625 6.1749 8.9004
angles: 90.00 108.94 90.00
Space group Cc (No. 9)
Inequivalent atoms, fractional coordinates:
Li (0.0000, 0.2278, 0.0000) [4 per cell]
Li (0.1552, 0.2522, 0.3403) [4 per cell]
Li (0.1721, 0.2605, 0.8548) [4 per cell]
Li (0.3301, 0.2363, 0.1896) [4 per cell]
Li (0.3356, 0.2530, 0.6838) [4 per cell]
Ge (0.4992, 0.1932, 0.0611) [4 per cell]
As (0.1620, 0.4889, 0.5923) [4 per cell]
As (0.3367, 0.0088, 0.9381) [4 per cell]
As (0.4984, 0.4813, 0.2404) [4 per cell]

Most intense lines, 10° ≤ 2θ ≤ 90°, in order of rising 2θ:
h k l  2θ (°)  I (rel.)
1 1 -1  17.84  21
1 1 -2  24.66  100
3 1 0  25.47  64
2 0 2  28.95  24
2 2 2  41.40  35
4 2 -2  41.54  36
6 0 0  42.60  20
3 3 0  49.20  20

***

This entry pairs a crystal structure of LiTlGeAs2 with its calculated powder X-ray diffraction pattern. Radiation: Cu Kα X-rays. Structure: a cell relaxed with PBE.
Kinematic intensities with the Lorentz-polarization factor, no thermal factor.

Structural model:
abc: 13.5987 4.0526 10.4697
angles: 90.00 122.97 90.00
Space group C2/m (No. 12)
Inequivalent atoms, fractional coordinates:
Li (0.1453, 0.0000, 0.4111) [4 per cell]
Tl (0.1851, 0.5000, 0.1431) [4 per cell]
Ge (0.0380, 0.5000, 0.6808) [4 per cell]
As (0.0635, 0.0000, 0.8443) [4 per cell]
As (0.1587, 0.5000, 0.5692) [4 per cell]

Most intense lines, 10° ≤ 2θ ≤ 90°, in order of rising 2θ:
h k l  2θ (°)  I (rel.)
4 0 -2  26.42  88
4 0 -1  27.11  94
1 1 -2  28.03  100
3 1 0  32.28  54
1 1 2  33.79  74
3 1 -3  34.62  56
0 2 0  44.70  89
7 1 -2  53.15  41

***

Repeat the first record exactly.
This entry pairs a crystal structure of La4GeAsS2 with its calculated powder X-ray diffraction pattern. Radiation: Cu Kα X-rays. Structure: a cell relaxed with PBE.
Kinematic intensities with the Lorentz-polarization factor, no thermal factor.

Structural model:
abc: 7.3884 4.3109 7.4637
angles: 90.00 109.66 90.00
Space group P2/m (No. 10)
Inequivalent atoms, fractional coordinates:
La (0.2494, 0.0000, 0.2485) [2 per cell]
La (0.2488, 0.5000, 0.7505) [2 per cell]
Ge (0.5000, 0.0000, 0.0000) [1 per cell]
As (0.5000, 0.5000, 0.5000) [1 per cell]
S (0.0000, 0.0000, 0.5000) [1 per cell]
S (0.0000, 0.5000, 0.0000) [1 per cell]

Most intense lines, 10° ≤ 2θ ≤ 90°, in order of rising 2θ:
h k l  2θ (°)  I (rel.)
0 0 2  25.34  26
1 1 1  29.42  100
0 2 0  41.92  38
2 0 2  42.26  37
0 0 4  52.04  20
1 3 1  68.95  17
4 2 0  69.44  17
1 1 5  76.81  12